[1]
Theoretical PXRD pattern of DyB4Rh7 for CuKα, from a structure optimized by DFT (PBE).
Neutral-atom scattering factors, no anomalous dispersion.

Most intense lines, 10° ≤ 2θ ≤ 90°, in order of rising 2θ:
30.74 deg, I 8.3
36.12 deg, I 60.4
37.49 deg, I 100.0
45.21 deg, I 38.6
49.24 deg, I 16.7
60.10 deg, I 18.3
60.19 deg, I 9.1
67.59 deg, I 12.6
76.63 deg, I 24.1
79.11 deg, I 8.3

Structure:
```
data_DyB4Rh7
_space_group_name_H-M_alt 'P 1'
_space_group_IT_number 1
_space_group_name_Hall 'P 1'
_cell_length_a 2.9082
_cell_length_b 9.6081
_cell_length_c 5.5328
_cell_angle_alpha 90.00
_cell_angle_beta 90.00
_cell_angle_gamma 90.00
loop_
_atom_site_label
_atom_site_type_symbol
_atom_site_fract_x
_atom_site_fract_y
_atom_site_fract_z
Dy1 Dy 0.0000 0.0000 0.0000
B1 B 0.0000 0.1672 0.4996
B2 B 0.0000 0.3337 0.0004
B3 B 0.0000 0.6663 0.0004
B4 B 0.0000 0.8328 0.4996
Rh1 Rh 0.0000 0.5000 0.4996
Rh2 Rh 0.5000 0.0000 0.4972
Rh3 Rh 0.5000 0.2501 0.7504
Rh4 Rh 0.5000 0.2542 0.2540
Rh5 Rh 0.5000 0.5000 0.9941
Rh6 Rh 0.5000 0.7458 0.2540
Rh7 Rh 0.5000 0.7499 0.7504
```



[2]
Theoretical PXRD pattern of Hg for CuKα, from a structure optimized by DFT (PBE).
Neutral-atom scattering factors, no anomalous dispersion.

Most intense lines, 10° ≤ 2θ ≤ 90°, in order of rising 2θ:
32.20 deg, I 100.0
46.19 deg, I 18.8
57.42 deg, I 39.6
67.38 deg, I 12.4
76.66 deg, I 17.4
85.59 deg, I 4.5

Structure:
```
data_Hg
_space_group_name_H-M_alt 'P 1'
_space_group_IT_number 1
_space_group_name_Hall 'P 1'
_cell_length_a 3.4044
_cell_length_b 3.4044
_cell_length_c 3.4044
_cell_angle_alpha 109.47
_cell_angle_beta 109.47
_cell_angle_gamma 109.47
loop_
_atom_site_label
_atom_site_type_symbol
_atom_site_fract_x
_atom_site_fract_y
_atom_site_fract_z
Hg1 Hg 0.0000 0.0000 0.0000
```



[3]
Theoretical PXRD pattern of LiMnPt2 for CuKα, from a structure optimized by DFT (PBE).
Neutral-atom scattering factors, no anomalous dispersion.

Most intense lines, 10° ≤ 2θ ≤ 90°, in order of rising 2θ:
25.35 deg, I 3.5
29.36 deg, I 67.9
42.00 deg, I 100.0
49.69 deg, I 1.5
52.06 deg, I 19.3
60.90 deg, I 16.7
67.04 deg, I 0.5
69.02 deg, I 25.6
76.73 deg, I 34.1

Structure:
```
data_LiMnPt2
_space_group_name_H-M_alt 'P 1'
_space_group_IT_number 1
_space_group_name_Hall 'P 1'
_cell_length_a 4.3028
_cell_length_b 4.3028
_cell_length_c 4.3028
_cell_angle_alpha 60.00
_cell_angle_beta 60.00
_cell_angle_gamma 60.00
loop_
_atom_site_label
_atom_site_type_symbol
_atom_site_fract_x
_atom_site_fract_y
_atom_site_fract_z
Li1 Li 0.0000 0.0000 0.0000
Mn1 Mn 0.5000 0.5000 0.5000
Pt1 Pt 0.2500 0.2500 0.2500
Pt2 Pt 0.7500 0.7500 0.7500
```



[4]
Theoretical PXRD pattern of PO4 for CuKα, from a structure optimized by DFT (PBE).
Neutral-atom scattering factors, no anomalous dispersion.

Most intense lines, 10° ≤ 2θ ≤ 90°, in order of rising 2θ:
15.94 deg, I 64.0
19.30 deg, I 81.8
23.33 deg, I 68.4
23.80 deg, I 15.3
26.55 deg, I 16.8
28.38 deg, I 100.0
29.35 deg, I 17.6
30.11 deg, I 20.9
30.45 deg, I 30.4
37.98 deg, I 21.6

Structure:
```
data_PO4
_space_group_name_H-M_alt 'P 1'
_space_group_IT_number 1
_space_group_name_Hall 'P 1'
_cell_length_a 7.6256
_cell_length_b 11.1225
_cell_length_c 10.1010
_cell_angle_alpha 90.00
_cell_angle_beta 90.00
_cell_angle_gamma 90.00
loop_
_atom_site_label
_atom_site_type_symbol
_atom_site_fract_x
_atom_site_fract_y
_atom_site_fract_z
P1 P 0.0249 0.2377 0.1709
P2 P 0.0249 0.2623 0.6709
P3 P 0.4751 0.2377 0.6709
P4 P 0.4751 0.2623 0.1709
P5 P 0.5249 0.7377 0.8291
P6 P 0.5249 0.7623 0.3291
P7 P 0.9751 0.7377 0.3291
P8 P 0.9751 0.7623 0.8291
O1 O 0.0120 0.1931 0.5443
O2 O 0.0120 0.3069 0.0443
O3 O 0.0171 0.1937 0.7978
O4 O 0.0171 0.3063 0.2978
O5 O 0.0491 0.1046 0.1700
O6 O 0.0491 0.3954 0.6700
O7 O 0.2463 0.5210 0.9076
O8 O 0.2463 0.9790 0.4076
O9 O 0.2537 0.5210 0.4076
O10 O 0.2537 0.9790 0.9076
O11 O 0.4509 0.1046 0.6700
O12 O 0.4509 0.3954 0.1700
O13 O 0.4829 0.1937 0.2978
O14 O 0.4829 0.3063 0.7978
O15 O 0.4880 0.1931 0.0443
O16 O 0.4880 0.3069 0.5443
O17 O 0.5120 0.6931 0.4557
O18 O 0.5120 0.8069 0.9557
O19 O 0.5171 0.6937 0.2022
O20 O 0.5171 0.8063 0.7022
O21 O 0.5491 0.6046 0.8300
O22 O 0.5491 0.8954 0.3300
O23 O 0.7463 0.0210 0.0924
O24 O 0.7463 0.4790 0.5924
O25 O 0.7537 0.0210 0.5924
O26 O 0.7537 0.4790 0.0924
O27 O 0.9509 0.6046 0.3300
O28 O 0.9509 0.8954 0.8300
O29 O 0.9829 0.6937 0.7022
O30 O 0.9829 0.8063 0.2022
O31 O 0.9880 0.6931 0.9557
O32 O 0.9880 0.8069 0.4557
```



[5]
Theoretical PXRD pattern of MgNi6Ge6 for CuKα, from a structure optimized by DFT (PBE).
Neutral-atom scattering factors, no anomalous dispersion.

Most intense lines, 10° ≤ 2θ ≤ 90°, in order of rising 2θ:
20.10 deg, I 16.1
35.19 deg, I 42.1
40.85 deg, I 39.7
42.28 deg, I 63.9
46.33 deg, I 20.4
47.23 deg, I 100.0
50.98 deg, I 28.9
74.39 deg, I 27.2
74.68 deg, I 17.7
83.05 deg, I 20.0

Structure:
```
data_MgNi6Ge6
_space_group_name_H-M_alt 'P 1'
_space_group_IT_number 1
_space_group_name_Hall 'P 1'
_cell_length_a 5.1011
_cell_length_b 5.1011
_cell_length_c 7.8390
_cell_angle_alpha 90.00
_cell_angle_beta 90.00
_cell_angle_gamma 120.00
loop_
_atom_site_label
_atom_site_type_symbol
_atom_site_fract_x
_atom_site_fract_y
_atom_site_fract_z
Mg1 Mg 0.0000 0.0000 0.0000
Ni1 Ni 0.0000 0.5000 0.2491
Ni2 Ni 0.0000 0.5000 0.7509
Ni3 Ni 0.5000 0.0000 0.2491
Ni4 Ni 0.5000 0.0000 0.7509
Ni5 Ni 0.5000 0.5000 0.2491
Ni6 Ni 0.5000 0.5000 0.7509
Ge1 Ge 0.0000 0.0000 0.3395
Ge2 Ge 0.0000 0.0000 0.6605
Ge3 Ge 0.3333 0.6667 0.0000
Ge4 Ge 0.3333 0.6667 0.5000
Ge5 Ge 0.6667 0.3333 0.0000
Ge6 Ge 0.6667 0.3333 0.5000
```



[6]
Theoretical PXRD pattern of HoSiNi for CuKα, from a structure optimized by DFT (PBE).
Neutral-atom scattering factors, no anomalous dispersion.

Most intense lines, 10° ≤ 2θ ≤ 90°, in order of rising 2θ:
24.77 deg, I 45.1
25.97 deg, I 17.7
35.67 deg, I 54.3
36.19 deg, I 100.0
36.36 deg, I 36.9
40.20 deg, I 20.7
43.48 deg, I 29.3
43.90 deg, I 29.2
57.92 deg, I 30.8
70.77 deg, I 21.8

Structure:
```
data_HoSiNi
_space_group_name_H-M_alt 'P 1'
_space_group_IT_number 1
_space_group_name_Hall 'P 1'
_cell_length_a 6.8625
_cell_length_b 4.1630
_cell_length_c 7.1219
_cell_angle_alpha 90.00
_cell_angle_beta 90.00
_cell_angle_gamma 90.00
loop_
_atom_site_label
_atom_site_type_symbol
_atom_site_fract_x
_atom_site_fract_y
_atom_site_fract_z
Ho1 Ho 0.0107 0.2500 0.1983
Ho2 Ho 0.4893 0.7500 0.6983
Ho3 Ho 0.5107 0.2500 0.3017
Ho4 Ho 0.9893 0.7500 0.8017
Si1 Si 0.1946 0.2500 0.5943
Si2 Si 0.3054 0.7500 0.0943
Si3 Si 0.6946 0.2500 0.9057
Si4 Si 0.8054 0.7500 0.4057
Ni1 Ni 0.1743 0.7500 0.4225
Ni2 Ni 0.3257 0.2500 0.9225
Ni3 Ni 0.6743 0.7500 0.0775
Ni4 Ni 0.8257 0.2500 0.5775
```



[7]
Theoretical PXRD pattern of PrSi2Ni2 for CuKα, from a structure optimized by DFT (PBE).
Neutral-atom scattering factors, no anomalous dispersion.

Most intense lines, 10° ≤ 2θ ≤ 90°, in order of rising 2θ:
23.73 deg, I 42.7
35.60 deg, I 51.2
36.36 deg, I 100.0
37.31 deg, I 15.1
44.52 deg, I 42.0
52.52 deg, I 14.5
58.26 deg, I 24.2
59.45 deg, I 14.9
66.67 deg, I 18.1
76.63 deg, I 21.1

Structure:
```
data_PrSi2Ni2
_space_group_name_H-M_alt 'P 1'
_space_group_IT_number 1
_space_group_name_Hall 'P 1'
_cell_length_a 5.6140
_cell_length_b 5.6140
_cell_length_c 5.6140
_cell_angle_alpha 137.49
_cell_angle_beta 137.49
_cell_angle_gamma 61.68
loop_
_atom_site_label
_atom_site_type_symbol
_atom_site_fract_x
_atom_site_fract_y
_atom_site_fract_z
Pr1 Pr 0.0000 0.0000 0.0000
Si1 Si 0.3690 0.3690 0.0000
Si2 Si 0.6310 0.6310 0.0000
Ni1 Ni 0.2500 0.7500 0.5000
Ni2 Ni 0.7500 0.2500 0.5000
```



Please write out number 1 again, unchanged.
Theoretical PXRD pattern of DyB4Rh7 for CuKα, from a structure optimized by DFT (PBE).
Neutral-atom scattering factors, no anomalous dispersion.

Most intense lines, 10° ≤ 2θ ≤ 90°, in order of rising 2θ:
30.74 deg, I 8.3
36.12 deg, I 60.4
37.49 deg, I 100.0
45.21 deg, I 38.6
49.24 deg, I 16.7
60.10 deg, I 18.3
60.19 deg, I 9.1
67.59 deg, I 12.6
76.63 deg, I 24.1
79.11 deg, I 8.3

Structure:
```
data_DyB4Rh7
_space_group_name_H-M_alt 'P 1'
_space_group_IT_number 1
_space_group_name_Hall 'P 1'
_cell_length_a 2.9082
_cell_length_b 9.6081
_cell_length_c 5.5328
_cell_angle_alpha 90.00
_cell_angle_beta 90.00
_cell_angle_gamma 90.00
loop_
_atom_site_label
_atom_site_type_symbol
_atom_site_fract_x
_atom_site_fract_y
_atom_site_fract_z
Dy1 Dy 0.0000 0.0000 0.0000
B1 B 0.0000 0.1672 0.4996
B2 B 0.0000 0.3337 0.0004
B3 B 0.0000 0.6663 0.0004
B4 B 0.0000 0.8328 0.4996
Rh1 Rh 0.0000 0.5000 0.4996
Rh2 Rh 0.5000 0.0000 0.4972
Rh3 Rh 0.5000 0.2501 0.7504
Rh4 Rh 0.5000 0.2542 0.2540
Rh5 Rh 0.5000 0.5000 0.9941
Rh6 Rh 0.5000 0.7458 0.2540
Rh7 Rh 0.5000 0.7499 0.7504
```



Repeat the fifth record exactly.
Theoretical PXRD pattern of MgNi6Ge6 for CuKα, from a structure optimized by DFT (PBE).
Neutral-atom scattering factors, no anomalous dispersion.

Most intense lines, 10° ≤ 2θ ≤ 90°, in order of rising 2θ:
20.10 deg, I 16.1
35.19 deg, I 42.1
40.85 deg, I 39.7
42.28 deg, I 63.9
46.33 deg, I 20.4
47.23 deg, I 100.0
50.98 deg, I 28.9
74.39 deg, I 27.2
74.68 deg, I 17.7
83.05 deg, I 20.0

Structure:
```
data_MgNi6Ge6
_space_group_name_H-M_alt 'P 1'
_space_group_IT_number 1
_space_group_name_Hall 'P 1'
_cell_length_a 5.1011
_cell_length_b 5.1011
_cell_length_c 7.8390
_cell_angle_alpha 90.00
_cell_angle_beta 90.00
_cell_angle_gamma 120.00
loop_
_atom_site_label
_atom_site_type_symbol
_atom_site_fract_x
_atom_site_fract_y
_atom_site_fract_z
Mg1 Mg 0.0000 0.0000 0.0000
Ni1 Ni 0.0000 0.5000 0.2491
Ni2 Ni 0.0000 0.5000 0.7509
Ni3 Ni 0.5000 0.0000 0.2491
Ni4 Ni 0.5000 0.0000 0.7509
Ni5 Ni 0.5000 0.5000 0.2491
Ni6 Ni 0.5000 0.5000 0.7509
Ge1 Ge 0.0000 0.0000 0.3395
Ge2 Ge 0.0000 0.0000 0.6605
Ge3 Ge 0.3333 0.6667 0.0000
Ge4 Ge 0.3333 0.6667 0.5000
Ge5 Ge 0.6667 0.3333 0.0000
Ge6 Ge 0.6667 0.3333 0.5000
```